Starting from a crystal structure in Alexandria, relaxed with GGA-PBE, the X-ray powder pattern of Na4B7C was simulated for Cu Kα, 1.54184 Å.
Neutral-atom scattering factors, no anomalous dispersion.

Atomic structure:
a = 5.8156 Å, b = 8.6548 Å, c = 5.2786 Å
α = 90.00°, β = 90.00°, γ = 90.00°
Fractional coordinates of all 24 atoms:
Na: 0.0000 0.0000 0.0000
Na: 0.0000 0.5000 0.0000
Na: 0.2500 0.0034 0.4992
Na: 0.2500 0.4966 0.4992
Na: 0.5000 0.0000 0.0000
Na: 0.5000 0.5000 0.0000
Na: 0.7500 0.5034 0.5008
Na: 0.7500 0.9966 0.5008
B: 0.0055 0.7500 0.6537
B: 0.0130 0.7500 0.3234
B: 0.2500 0.2500 0.1537
B: 0.2500 0.2500 0.8332
B: 0.2500 0.7500 0.8660
B: 0.4870 0.7500 0.3234
B: 0.4945 0.7500 0.6537
B: 0.5055 0.2500 0.3463
B: 0.5130 0.2500 0.6766
B: 0.7500 0.2500 0.1340
B: 0.7500 0.7500 0.1668
B: 0.7500 0.7500 0.8463
B: 0.9870 0.2500 0.6766
B: 0.9945 0.2500 0.3463
C: 0.2500 0.7500 0.1652
C: 0.7500 0.2500 0.8348

Top 10 peaks for 10 to 90 degrees two-theta, low angle first:
hkl 0 0 2, 33.97°, intensity 122
hkl 2 0 1, 35.24°, intensity 179
hkl 0 2 2, 40.01°, intensity 491
hkl 2 2 1, 41.12°, intensity 1000
hkl 0 4 0, 41.75°, intensity 356
hkl 2 4 1, 55.75°, intensity 99
hkl 2 0 3, 61.61°, intensity 182
hkl 2 6 1, 75.79°, intensity 127
hkl 2 4 3, 77.20°, intensity 172
hkl 4 2 2, 78.25°, intensity 102